Pm2DyF11: computed XRD peak list (Cu Ka), based on a GGA-PBE-relaxed structure.

Crystal structure
a b c (Å): 8.619 10.408 11.285
angles (deg): 90.00 90.00 90.00
Space group Ibam (No. 72)
Asymmetric unit:
Pm 0.163 0.190 0.000 [8 per cell]
Dy 0.000 0.500 0.250 [4 per cell]
F 0.000 0.000 0.000 [4 per cell]
F 0.100 0.331 0.146 [16 per cell]
F 0.107 0.189 0.500 [8 per cell]
F 0.198 0.426 0.365 [16 per cell]

Largest 8 diffraction maxima, in order of falling intensity, 2θ = 15–90°:
2θ (°)  intensity  (hkl)
20.66  100  1 1 2
23.25  79  0 2 2
23.70  57  2 1 1
43.95  44  3 3 2
21.44  39  1 2 1
43.59  29  1 4 3
26.02  29  2 0 2
42.62  28  1 3 4

***

Rb4Dy6F19: computed XRD peak list (Cu Ka), based on a GGA-PBE-relaxed structure.

Crystal structure
a b c (Å): 11.186 11.186 11.186
angles (deg): 90.00 90.00 90.00
Space group I23 (No. 197)
Asymmetric unit:
Rb 0.137 0.137 0.863 [8 per cell]
Dy 0.000 0.339 0.500 [12 per cell]
F 0.000 0.000 0.000 [2 per cell]
F 0.000 0.000 0.380 [12 per cell]
F 0.002 0.363 0.697 [24 per cell]

Largest 8 diffraction maxima, in order of falling intensity, 2θ = 15–90°:
2θ (°)  intensity  (hkl)
25.18  100  3 1 0
29.89  66  3 2 1
41.15  57  4 1 3
15.85  52  2 0 0
48.85  29  6 0 0
19.44  25  2 1 1
50.28  22  5 3 2
55.73  21  6 3 1

***

What did the second record say?
Rb4Dy6F19: computed XRD peak list (Cu Ka), based on a GGA-PBE-relaxed structure.

Crystal structure
a b c (Å): 11.186 11.186 11.186
angles (deg): 90.00 90.00 90.00
Space group I23 (No. 197)
Asymmetric unit:
Rb 0.137 0.137 0.863 [8 per cell]
Dy 0.000 0.339 0.500 [12 per cell]
F 0.000 0.000 0.000 [2 per cell]
F 0.000 0.000 0.380 [12 per cell]
F 0.002 0.363 0.697 [24 per cell]

Largest 8 diffraction maxima, in order of falling intensity, 2θ = 15–90°:
2θ (°)  intensity  (hkl)
25.18  100  3 1 0
29.89  66  3 2 1
41.15  57  4 1 3
15.85  52  2 0 0
48.85  29  6 0 0
19.44  25  2 1 1
50.28  22  5 3 2
55.73  21  6 3 1